# 1
Computed powder XRD pattern
Compound: CaAc2Au3
Radiation: Cu Kα X-rays
Structure: a DFT-relaxed cell (PBE, Alexandria)

The 10 most intense peaks (10 to 90 degrees two-theta), most intense first:
| d [Å] | 2theta | intensity |
| --- | --- | --- |
| 2.712 | 33.02 | 100 |
| 2.700 | 33.17 | 50 |
| 1.561 | 59.17 | 39 |
| 1.910 | 47.62 | 19 |
| 1.568 | 58.88 | 18 |
| 1.208 | 79.29 | 17 |
| 1.356 | 69.28 | 11 |
| 1.927 | 47.17 | 9 |
| 3.186 | 28.00 | 9 |
| 1.351 | 69.61 | 9 |

Structure:
Cell lengths 3.819, 3.819, 11.560 Å; angles 90.00, 90.00, 90.00 degrees
Fractional positions:
Ca1 0.000 0.000 0.000
Ac1 0.000 0.000 0.326
Ac2 0.000 0.000 0.674
Au1 0.500 0.500 0.157
Au2 0.500 0.500 0.500
Au3 0.500 0.500 0.843

=====

# 2
Computed powder XRD pattern
Compound: Zr2NbHg
Radiation: Cu Kα X-rays
Structure: a DFT-relaxed cell (PBE, Alexandria)

The 10 most intense peaks (10 to 90 degrees two-theta), most intense first:
| d [Å] | 2theta | intensity |
| --- | --- | --- |
| 2.445 | 36.76 | 100 |
| 2.497 | 35.97 | 54 |
| 1.431 | 65.17 | 37 |
| 1.766 | 51.78 | 19 |
| 1.402 | 66.72 | 16 |
| 3.132 | 28.50 | 13 |
| 1.222 | 78.19 | 10 |
| 1.117 | 87.32 | 9 |
| 1.112 | 87.79 | 8 |
| 6.777 | 13.06 | 8 |

Structure:
Cell lengths 3.531, 3.531, 6.777 Å; angles 90.00, 90.00, 90.00 degrees
Fractional positions:
Zr1 0.000 0.000 0.234
Zr2 0.000 0.000 0.766
Nb1 0.500 0.500 0.000
Hg1 0.500 0.500 0.500

=====

# 3
Computed powder XRD pattern
Compound: NaLiHgTe2
Radiation: Cu Kα X-rays
Structure: a DFT-relaxed cell (PBE, Alexandria)

The 10 most intense peaks (10 to 90 degrees two-theta), most intense first:
| d [Å] | 2theta | intensity |
| --- | --- | --- |
| 4.265 | 20.83 | 100 |
| 2.768 | 32.34 | 77 |
| 7.599 | 11.65 | 69 |
| 2.858 | 31.30 | 59 |
| 3.935 | 22.60 | 54 |
| 2.257 | 39.95 | 47 |
| 4.326 | 20.53 | 45 |
| 2.318 | 38.85 | 41 |
| 6.020 | 14.72 | 41 |
| 3.800 | 23.41 | 41 |

Structure:
Cell lengths 7.982, 7.982, 10.981 Å; angles 126.09, 126.09, 33.76 degrees
Fractional positions:
Na1 0.228 0.228 0.142
Na2 0.772 0.772 0.858
Li1 0.359 0.359 0.576
Li2 0.641 0.641 0.424
Hg1 0.043 0.043 0.703
Hg2 0.957 0.957 0.297
Te1 0.182 0.182 0.600
Te2 0.434 0.434 0.125
Te3 0.566 0.566 0.875
Te4 0.818 0.818 0.400

=====

# 4
Computed powder XRD pattern
Compound: Co4Ni2Pt
Radiation: Cu Kα X-rays
Structure: a DFT-relaxed cell (PBE, Alexandria)

The 10 most intense peaks (10 to 90 degrees two-theta), most intense first:
| d [Å] | 2theta | intensity |
| --- | --- | --- |
| 2.393 | 37.59 | 100 |
| 1.886 | 48.24 | 60 |
| 3.544 | 25.13 | 54 |
| 1.921 | 47.32 | 50 |
| 2.319 | 38.84 | 31 |
| 2.168 | 41.65 | 26 |
| 2.110 | 42.86 | 25 |
| 4.587 | 19.35 | 20 |
| 1.280 | 74.06 | 19 |
| 1.833 | 49.75 | 19 |

Structure:
Cell lengths 4.285, 8.673, 9.174 Å; angles 90.00, 90.00, 90.00 degrees
Fractional positions:
Co1 0.160 0.222 0.059
Co2 0.160 0.278 0.559
Co3 0.185 0.191 0.309
Co4 0.185 0.309 0.809
Co5 0.315 0.691 0.309
Co6 0.315 0.809 0.809
Co7 0.340 0.722 0.059
Co8 0.340 0.778 0.559
Co9 0.660 0.222 0.441
Co10 0.660 0.278 0.941
Co11 0.685 0.191 0.191
Co12 0.685 0.309 0.691
Co13 0.815 0.691 0.191
Co14 0.815 0.809 0.691
Co15 0.840 0.722 0.441
Co16 0.840 0.778 0.941
Ni1 0.021 0.548 0.674
Ni2 0.021 0.952 0.174
Ni3 0.479 0.048 0.674
Ni4 0.479 0.452 0.174
Ni5 0.521 0.548 0.826
Ni6 0.521 0.952 0.326
Ni7 0.979 0.048 0.826
Ni8 0.979 0.452 0.326
Pt1 0.000 0.000 0.500
Pt2 0.000 0.500 0.000
Pt3 0.500 0.000 0.000
Pt4 0.500 0.500 0.500

=====

# 5
Computed powder XRD pattern
Compound: Pm2Nd2Dy2Y
Radiation: Cu Kα X-rays
Structure: a DFT-relaxed cell (PBE, Alexandria)

The 10 most intense peaks (10 to 90 degrees two-theta), most intense first:
| d [Å] | 2theta | intensity |
| --- | --- | --- |
| 2.879 | 31.06 | 100 |
| 1.661 | 55.30 | 29 |
| 2.036 | 44.50 | 18 |
| 1.665 | 55.15 | 9 |
| 1.287 | 73.62 | 8 |
| 1.288 | 73.50 | 8 |
| 1.438 | 64.84 | 6 |
| 1.441 | 64.68 | 6 |
| 1.174 | 82.05 | 3 |
| 2.359 | 38.15 | 1 |

Structure:
Cell lengths 8.890, 8.890, 8.890 Å; angles 37.75, 37.75, 37.75 degrees
Fractional positions:
Pm1 0.217 0.217 0.217
Pm2 0.783 0.783 0.783
Nd1 0.361 0.361 0.361
Nd2 0.639 0.639 0.639
Dy1 0.072 0.072 0.072
Dy2 0.928 0.928 0.928
Y1 0.500 0.500 0.500